Record 1
This entry pairs a crystal structure of MgMn9CdO10 with its calculated XRD peak list. Radiation: copper Kα. Structure: DFT lattice parameters and positions (PBE+U).
Intensities are scaled so that the largest is 100.

Principal peaks in the range 10 to 80 degrees two-theta, sorted by position:
2θ = 33.74°, d = 2.656 Å, rel. 55, (-1 1 3); 2θ = 34.26°, d = 2.617 Å, rel. 32, (0 2 0); 2θ = 34.44°, d = 2.604 Å, rel. 55, (2 0 -1); 2θ = 34.73°, d = 2.583 Å, rel. 57, (1 -1 3); 2θ = 35.99°, d = 2.495 Å, rel. 71, (1 1 2); 2θ = 36.43°, d = 2.466 Å, rel. 71, (1 1 -3); 2θ = 40.00°, d = 2.254 Å, rel. 100, (2 -2 0); 2θ = 42.82°, d = 2.112 Å, rel. 37, (1 1 3); 2θ = 43.35°, d = 2.087 Å, rel. 36, (1 1 -4); 2θ = 56.88°, d = 1.619 Å, rel. 34, (2 2 -1)

```
data_MgMn9CdO10
_symmetry_space_group_name_H-M 'P 1'
_symmetry_Int_Tables_number 1
_cell_length_a 5.5465
_cell_length_b 5.5579
_cell_length_c 9.7732
_cell_angle_alpha 93.79
_cell_angle_beta 96.51
_cell_angle_gamma 108.65
loop_
_symmetry_equiv_pos_as_xyz
'x,y,z'
loop_
_atom_site_label
_atom_site_type_symbol
_atom_site_fract_x
_atom_site_fract_y
_atom_site_fract_z
_atom_site_occupancy
Mg1 Mg 0.0000 0.0000 0.0000 1
Mn1 Mn 0.3439 0.3709 0.3895 1
Mn2 Mn 0.3772 0.8948 0.5392 1
Mn3 Mn 0.4344 0.4420 0.7275 1
Mn4 Mn 0.4795 0.9790 0.8744 1
Mn5 Mn 0.7617 0.3495 0.2160 1
Mn6 Mn 0.8231 0.8507 0.3830 1
Mn7 Mn 0.8809 0.3912 0.5463 1
Mn8 Mn 0.9263 0.9262 0.7017 1
Mn9 Mn 0.9598 0.4602 0.8755 1
Cd1 Cd 0.2940 0.7955 0.1740 1
O1 O 0.0723 0.5938 0.3799 1
O2 O 0.1219 0.1298 0.5269 1
O3 O 0.1811 0.6755 0.7161 1
O4 O 0.2061 0.1929 0.8607 1
O5 O 0.5440 0.5774 0.2416 1
O6 O 0.5943 0.1166 0.3774 1
O7 O 0.6261 0.6463 0.5489 1
O8 O 0.6706 0.1831 0.7059 1
O9 O 0.7386 0.7269 0.8664 1
O10 O 0.7936 0.2189 0.0256 1
```


Record 2
This entry pairs a crystal structure of Mg14MnCdO16 with its calculated XRD peak list. Radiation: copper Kα. Structure: DFT lattice parameters and positions (PBE+U).
Intensities are scaled so that the largest is 100.

Principal peaks in the range 10 to 80 degrees two-theta, sorted by position:
2θ = 10.24°, d = 8.640 Å, rel. 23, (0 1 0); 2θ = 20.55°, d = 4.323 Å, rel. 15, (0 2 0); 2θ = 23.00°, d = 3.867 Å, rel. 17, (1 1 0); 2θ = 29.22°, d = 3.057 Å, rel. 13, (0 2 2); 2θ = 31.03°, d = 2.882 Å, rel. 12, (0 3 0); 2θ = 35.98°, d = 2.496 Å, rel. 24, (1 2 2); 2θ = 41.79°, d = 2.161 Å, rel. 100, (2 0 0); 2θ = 60.58°, d = 1.528 Å, rel. 57, (2 0 4); 2θ = 72.50°, d = 1.304 Å, rel. 8, (1 2 6); 2θ = 76.31°, d = 1.248 Å, rel. 17, (2 4 4)

```
data_Mg14MnCdO16
_symmetry_space_group_name_H-M 'P m m m'
_symmetry_Int_Tables_number 47
_cell_length_a 4.3269
_cell_length_b 8.6385
_cell_length_c 8.6447
_cell_angle_alpha 90.00
_cell_angle_beta 90.00
_cell_angle_gamma 90.00
loop_
_symmetry_equiv_pos_as_xyz
'x,y,z'
'-x,-y,-z'
'-x,-y,z'
'x,y,-z'
'x,-y,-z'
'-x,y,z'
'-x,y,-z'
'x,-y,z'
loop_
_atom_site_label
_atom_site_type_symbol
_atom_site_fract_x
_atom_site_fract_y
_atom_site_fract_z
_atom_site_occupancy
Mg1 Mg 0.0000 0.0000 0.0000 1
Mg2 Mg 0.0000 0.0000 0.5000 1
Mg3 Mg 0.0000 0.2461 0.2486 1
Mg4 Mg 0.5000 0.0000 0.2496 1
Mg5 Mg 0.5000 0.2445 0.5000 1
Mg6 Mg 0.5000 0.2474 0.0000 1
Mg7 Mg 0.5000 0.5000 0.2469 1
Mn1 Mn 0.0000 0.5000 0.0000 1
Cd1 Cd 0.0000 0.5000 0.5000 1
O1 O 0.0000 0.0000 0.2486 1
O2 O 0.0000 0.2337 0.5000 1
O3 O 0.0000 0.2403 0.0000 1
O4 O 0.0000 0.5000 0.2412 1
O5 O 0.5000 0.0000 0.0000 1
O6 O 0.5000 0.0000 0.5000 1
O7 O 0.5000 0.2507 0.2502 1
O8 O 0.5000 0.5000 0.0000 1
O9 O 0.5000 0.5000 0.5000 1
```


Record 3
This entry pairs a crystal structure of MgMn9CdO10 with its calculated XRD peak list. Radiation: copper Kα. Structure: DFT lattice parameters and positions (PBE+U).
Intensities are scaled so that the largest is 100.

Principal peaks in the range 10 to 80 degrees two-theta, sorted by position:
2θ = 19.72°, d = 4.502 Å, rel. 31, (0 2 1); 2θ = 31.61°, d = 2.831 Å, rel. 100, (0 6 0); 2θ = 32.17°, d = 2.782 Å, rel. 65, (2 0 0); 2θ = 33.74°, d = 2.656 Å, rel. 29, (0 0 2); 2θ = 33.92°, d = 2.643 Å, rel. 57, (2 2 0); 2θ = 34.16°, d = 2.625 Å, rel. 64, (1 3 -2); 2θ = 36.44°, d = 2.466 Å, rel. 47, (2 2 -2); 2θ = 38.71°, d = 2.326 Å, rel. 82, (1 5 1); 2θ = 45.86°, d = 1.979 Å, rel. 28, (3 1 -2); 2θ = 51.82°, d = 1.764 Å, rel. 27, (1 5 2)

```
data_MgMn9CdO10
_symmetry_space_group_name_H-M 'C 1 m 1'
_symmetry_Int_Tables_number 8
_cell_length_a 6.2113
_cell_length_b 16.9598
_cell_length_c 5.9321
_cell_angle_alpha 90.00
_cell_angle_beta 116.41
_cell_angle_gamma 90.00
loop_
_symmetry_equiv_pos_as_xyz
'x,y,z'
'x,-y,z'
'x+1/2,y+1/2,z'
'x+1/2,-y+1/2,z'
loop_
_atom_site_label
_atom_site_type_symbol
_atom_site_fract_x
_atom_site_fract_y
_atom_site_fract_z
_atom_site_occupancy
Mg1 Mg 0.0000 0.0000 0.0000 1
Mn1 Mn 0.0228 0.4035 0.4202 1
Mn2 Mn 0.0879 0.1491 0.8151 1
Mn3 Mn 0.1312 0.2068 0.3644 1
Mn4 Mn 0.1458 0.3264 0.0121 1
Mn5 Mn 0.4325 0.0000 0.8121 1
Cd1 Cd 0.4495 0.5000 0.4487 1
O1 O 0.1827 0.5000 0.6722 1
O2 O 0.3096 0.3224 0.4696 1
O3 O 0.3454 0.2154 0.1017 1
O4 O 0.3669 0.1300 0.6720 1
O5 O 0.3751 0.0000 0.1284 1
O6 O 0.4619 0.3880 0.0753 1
```